# 1
Starting from a structure optimized by DFT (GGA-PBE), the X-ray diffraction stick pattern of ScCuSi was computed for λ = 1.5418 Å (Cu Kα).
Lines closer than 0.1° are merged.

Peak list (10 most intense, 2θ from 10° to 90°, in order of rising 2θ)
- 2θ 22.6, d 3.943, rel. 13, hkl 0 0 1
- 2θ 27.8, d 3.212, rel. 24, hkl 1 1 0
- 2θ 36.1, d 2.488, rel. 100, hkl 1 1 1
- 2θ 39.7, d 2.271, rel. 92, hkl 2 0 1
- 2θ 43.1, d 2.100, rel. 71, hkl 2 1 0
- 2θ 46.0, d 1.971, rel. 35, hkl 0 0 2
- 2θ 49.2, d 1.853, rel. 49, hkl 3 0 0
- 2θ 64.9, d 1.437, rel. 38, hkl 2 1 2
- 2θ 65.0, d 1.435, rel. 13, hkl 3 1 1
- 2θ 78.9, d 1.213, rel. 25, hkl 3 2 1

Lattice parameters (Å, degrees): 6.4148 6.4148 3.9426 90.00 90.00 120.00
Space group P-62m (No. 189)
Inequivalent atoms, fractional coordinates:
Sc: 0.0000 0.5704 0.0000
Cu: 0.0000 0.2428 0.5000
Si: 0.0000 0.0000 0.0000
Si: 0.3333 0.6667 0.5000



# 2
Starting from a structure optimized by DFT (GGA-PBE), the X-ray diffraction stick pattern of Eu2MgS4 was computed for λ = 1.5418 Å (Cu Kα).
Lines closer than 0.1° are merged.

Peak list (10 most intense, 2θ from 10° to 90°, in order of rising 2θ)
- 2θ 14.7, d 6.019, rel. 53, hkl 1 0 1
- 2θ 18.3, d 4.838, rel. 91, hkl 1 1 1
- 2θ 23.4, d 3.808, rel. 54, hkl 3 0 1
- 2θ 25.4, d 3.511, rel. 49, hkl 2 2 0
- 2θ 25.8, d 3.449, rel. 49, hkl 3 1 1
- 2θ 26.4, d 3.370, rel. 63, hkl 1 2 1
- 2θ 37.2, d 2.419, rel. 100, hkl 2 2 2
- 2θ 37.3, d 2.408, rel. 42, hkl 4 0 2
- 2θ 41.6, d 2.171, rel. 27, hkl 5 2 1
- 2θ 45.0, d 2.014, rel. 38, hkl 6 2 0

Lattice parameters (Å, degrees): 13.910 8.135 6.676 90.00 90.00 90.00
Space group Pnma (No. 62)
Inequivalent atoms, fractional coordinates:
Eu: 0.000 0.000 0.000
Eu: 0.232 0.250 0.499
Mg: 0.093 0.750 0.574
S: 0.067 0.250 0.256
S: 0.091 0.750 0.214
S: 0.167 0.516 0.751



# 3
Starting from a structure optimized by DFT (GGA-PBE), the X-ray diffraction stick pattern of Y3CBr3 was computed for λ = 1.5418 Å (Cu Kα).
Lines closer than 0.1° are merged.

Peak list (10 most intense, 2θ from 10° to 90°, in order of rising 2θ)
- 2θ 17.7, d 5.022, rel. 13, hkl 0 0 6
- 2θ 27.1, d 3.285, rel. 28, hkl 1 1 0
- 2θ 32.6, d 2.749, rel. 100, hkl 1 1 6
- 2θ 35.8, d 2.511, rel. 8, hkl 0 0 12
- 2θ 38.4, d 2.345, rel. 9, hkl 1 1 9
- 2θ 45.5, d 1.995, rel. 23, hkl 2 -1 12
- 2θ 48.0, d 1.897, rel. 25, hkl 3 0 0
- 2θ 59.2, d 1.561, rel. 16, hkl 4 -2 6
- 2θ 61.2, d 1.513, rel. 9, hkl 3 0 12
- 2θ 79.5, d 1.205, rel. 13, hkl 4 1 6

Lattice parameters (Å, degrees): 6.5699 6.5699 30.1333 90.00 90.00 120.00
Space group R-3 (No. 148, hexagonal axes)
Inequivalent atoms, fractional coordinates:
Y: 0.0000 0.3543 0.4546
C: 0.0000 0.0000 0.1667
Br: 0.0001 0.3242 0.6086



# 4
Starting from a structure optimized by DFT (GGA-PBE), the X-ray diffraction stick pattern of TiPd was computed for λ = 1.5418 Å (Cu Kα).
Lines closer than 0.1° are merged.

Peak list (10 most intense, 2θ from 10° to 90°, in order of rising 2θ)
- 2θ 26.6, d 3.353, rel. 46, hkl 0 1 1
- 2θ 31.9, d 2.808, rel. 19, hkl 1 0 0
- 2θ 36.6, d 2.456, rel. 45, hkl 0 0 2
- 2θ 39.3, d 2.294, rel. 67, hkl 0 2 0
- 2θ 41.4, d 2.179, rel. 100, hkl 1 1 -1
- 2θ 41.7, d 2.165, rel. 49, hkl 0 1 2
- 2θ 42.5, d 2.127, rel. 89, hkl 1 1 1
- 2θ 54.7, d 1.677, rel. 27, hkl 0 2 2
- 2θ 72.7, d 1.301, rel. 18, hkl 1 3 -1
- 2θ 81.1, d 1.186, rel. 17, hkl 0 1 4

Lattice parameters (Å, degrees): 2.809 4.589 4.915 90.00 92.05 90.00
Space group P2_1/m (No. 11)
Inequivalent atoms, fractional coordinates:
Ti: 0.032 0.250 0.298
Pd: 0.496 0.250 0.812